[1]
Structure and simulated X-ray powder pattern of Ti10CuSn6 (DFT lattice parameters and positions (GGA-PBE); Cu Kα, 1.54184 Å).

Structural model:
```
data_Ti10CuSn6
_cell_length_a 8.1599
_cell_length_b 8.1599
_cell_length_c 5.5032
_cell_angle_alpha 90.00
_cell_angle_beta 90.00
_cell_angle_gamma 120.00
_space_group_name_H-M_alt 'P -3 1 m'
_space_group_IT_number 162
_space_group_name_Hall '-P 3 2'
loop_
_atom_site_label
_atom_site_type_symbol
_atom_site_fract_x
_atom_site_fract_y
_atom_site_fract_z
_atom_site_occupancy
Ti1 Ti 0.0000 0.2623 0.2405 1
Ti2 Ti 0.3333 0.6667 0.0000 1
Ti3 Ti 0.3333 0.6667 0.5000 1
Cu1 Cu 0.0000 0.0000 0.5000 1
Sn1 Sn 0.0000 0.3856 0.7453 1
```

The 10 most intense peaks (15° ≤ 2θ ≤ 90°), by angle:
2θ = 27.21°, intensity 69, hkl 2 -1 1; 2θ = 32.54°, intensity 32, hkl 0 0 2; 2θ = 37.43°, intensity 100, hkl 2 1 1; 2θ = 38.21°, intensity 92, hkl 3 0 0; 2θ = 39.50°, intensity 99, hkl 2 -1 2; 2θ = 49.36°, intensity 45, hkl 4 -1 1; 2θ = 56.12°, intensity 19, hkl 2 2 2; 2θ = 61.30°, intensity 22, hkl 3 -1 3; 2θ = 72.88°, intensity 24, hkl 4 2 1; 2θ = 80.92°, intensity 20, hkl 3 0 4

---

[2]
Structure and simulated X-ray powder pattern of Tm3Cu4Sn4 (DFT lattice parameters and positions (GGA-PBE); Cu Kα, 1.54184 Å).

Structural model:
```
data_Tm3Cu4Sn4
_cell_length_a 4.4503
_cell_length_b 6.9272
_cell_length_c 14.5043
_cell_angle_alpha 90.00
_cell_angle_beta 90.00
_cell_angle_gamma 90.00
_space_group_name_H-M_alt 'I m m m'
_space_group_IT_number 71
_space_group_name_Hall '-I 2 2'
loop_
_atom_site_label
_atom_site_type_symbol
_atom_site_fract_x
_atom_site_fract_y
_atom_site_fract_z
_atom_site_occupancy
Tm1 Tm 0.0000 0.0000 0.0000 1
Tm2 Tm 0.0000 0.5000 0.1291 1
Cu1 Cu 0.0000 0.3123 0.3265 1
Sn1 Sn 0.0000 0.0000 0.2167 1
Sn2 Sn 0.0000 0.2047 0.5000 1
```

The 10 most intense peaks (15° ≤ 2θ ≤ 90°), by angle:
2θ = 33.36°, intensity 100, hkl 1 2 1; 2θ = 33.49°, intensity 31, hkl 0 1 5; 2θ = 34.43°, intensity 98, hkl 1 1 4; 2θ = 40.54°, intensity 43, hkl 2 0 0; 2θ = 43.43°, intensity 22, hkl 0 3 3; 2θ = 45.60°, intensity 20, hkl 1 2 5; 2θ = 53.57°, intensity 16, hkl 2 1 5; 2θ = 60.91°, intensity 16, hkl 2 3 3; 2θ = 69.19°, intensity 19, hkl 3 2 1; 2θ = 76.68°, intensity 17, hkl 1 5 4

---

[3]
Structure and simulated X-ray powder pattern of Tm3Cu4Sn4 (DFT lattice parameters and positions (GGA-PBE); Cu Kα, 1.54184 Å).

Structural model:
```
data_Tm3Cu4Sn4
_cell_length_a 16.0886
_cell_length_b 4.4331
_cell_length_c 6.9126
_cell_angle_alpha 90.00
_cell_angle_beta 114.74
_cell_angle_gamma 90.00
_space_group_name_H-M_alt 'C 1 2/m 1'
_space_group_IT_number 12
loop_
_space_group_symop_operation_xyz
'x,y,z'
'-x,-y,-z'
'-x,y,-z'
'x,-y,z'
'x+1/2,y+1/2,z'
'-x+1/2,-y+1/2,-z'
'-x+1/2,y+1/2,-z'
'x+1/2,-y+1/2,z'
loop_
_atom_site_label
_atom_site_type_symbol
_atom_site_fract_x
_atom_site_fract_y
_atom_site_fract_z
_atom_site_occupancy
Tm1 Tm 0.0000 0.0000 0.0000 1
Tm2 Tm 0.1305 0.0000 0.6424 1
Cu1 Cu 0.1600 0.5000 0.9753 1
Cu2 Cu 0.1830 0.5000 0.3779 1
Sn1 Sn 0.0094 0.5000 0.3063 1
Sn2 Sn 0.2156 0.0000 0.1990 1
```

The 10 most intense peaks (15° ≤ 2θ ≤ 90°), by angle:
2θ = 33.40°, intensity 100, hkl 1 1 -2; 2θ = 33.50°, intensity 69, hkl 3 1 -2; 2θ = 34.24°, intensity 69, hkl 3 1 1; 2θ = 34.47°, intensity 68, hkl 5 1 -1; 2θ = 36.90°, intensity 24, hkl 6 0 0; 2θ = 40.71°, intensity 59, hkl 0 2 0; 2θ = 43.67°, intensity 16, hkl 6 0 -3; 2θ = 45.26°, intensity 27, hkl 3 1 2; 2θ = 53.66°, intensity 16, hkl 6 2 -1; 2θ = 68.88°, intensity 17, hkl 4 2 -4

---

[4]
Structure and simulated X-ray powder pattern of TmCu5Sn (DFT lattice parameters and positions (GGA-PBE); Cu Kα, 1.54184 Å).

Structural model:
```
data_TmCu5Sn
_cell_length_a 8.2060
_cell_length_b 4.9915
_cell_length_c 10.5847
_cell_angle_alpha 90.00
_cell_angle_beta 90.00
_cell_angle_gamma 90.00
_space_group_name_H-M_alt 'P n m a'
_space_group_IT_number 62
loop_
_space_group_symop_operation_xyz
'x,y,z'
'-x,-y,-z'
'-x+1/2,-y,z+1/2'
'x+1/2,y,-z+1/2'
'x+1/2,-y+1/2,-z+1/2'
'-x+1/2,y+1/2,z+1/2'
'-x,y+1/2,-z'
'x,-y+1/2,z'
loop_
_atom_site_label
_atom_site_type_symbol
_atom_site_fract_x
_atom_site_fract_y
_atom_site_fract_z
_atom_site_occupancy
Tm1 Tm 0.2480 0.2500 0.0635 1
Cu1 Cu 0.0584 0.7500 0.1019 1
Cu2 Cu 0.0652 0.0016 0.3131 1
Cu3 Cu 0.0877 0.2500 0.5176 1
Cu4 Cu 0.1864 0.2500 0.7452 1
Sn1 Sn 0.1401 0.7500 0.8613 1
```

The 10 most intense peaks (15° ≤ 2θ ≤ 90°), by angle:
2θ = 31.04°, intensity 36, hkl 0 1 3; 2θ = 35.65°, intensity 49, hkl 1 0 4; 2θ = 35.98°, intensity 40, hkl 0 2 0; 2θ = 38.17°, intensity 80, hkl 2 1 3; 2θ = 38.48°, intensity 100, hkl 3 1 1; 2θ = 43.28°, intensity 33, hkl 2 2 1; 2θ = 44.61°, intensity 45, hkl 2 1 4; 2θ = 45.89°, intensity 43, hkl 1 2 3; 2θ = 66.13°, intensity 32, hkl 4 1 5; 2θ = 71.01°, intensity 25, hkl 5 2 2

---

[5]
Structure and simulated X-ray powder pattern of Tm3Cu4Sn4 (DFT lattice parameters and positions (GGA-PBE); Cu Kα, 1.54184 Å).

Structural model:
```
data_Tm3Cu4Sn4
_cell_length_a 15.8045
_cell_length_b 4.1493
_cell_length_c 8.4284
_cell_angle_alpha 90.00
_cell_angle_beta 122.09
_cell_angle_gamma 90.00
_space_group_name_H-M_alt 'C 1 2/m 1'
_space_group_IT_number 12
loop_
_space_group_symop_operation_xyz
'x,y,z'
'-x,-y,-z'
'-x,y,-z'
'x,-y,z'
'x+1/2,y+1/2,z'
'-x+1/2,-y+1/2,-z'
'-x+1/2,y+1/2,-z'
'x+1/2,-y+1/2,z'
loop_
_atom_site_label
_atom_site_type_symbol
_atom_site_fract_x
_atom_site_fract_y
_atom_site_fract_z
_atom_site_occupancy
Tm1 Tm 0.0000 0.0000 0.0000 1
Tm2 Tm 0.1463 0.5000 0.6514 1
Cu1 Cu 0.1879 0.0000 0.9501 1
Cu2 Cu 0.1909 0.0000 0.4274 1
Sn1 Sn 0.0022 0.0000 0.3406 1
Sn2 Sn 0.1748 0.5000 0.1752 1
```

The 10 most intense peaks (15° ≤ 2θ ≤ 90°), by angle:
2θ = 21.08°, intensity 17, hkl 2 0 -2; 2θ = 29.39°, intensity 60, hkl 3 1 0; 2θ = 30.98°, intensity 27, hkl 3 1 -2; 2θ = 36.45°, intensity 100, hkl 1 1 2; 2θ = 37.84°, intensity 18, hkl 0 0 3; 2θ = 40.42°, intensity 29, hkl 6 0 0; 2θ = 41.08°, intensity 26, hkl 5 1 -3; 2θ = 42.92°, intensity 16, hkl 4 0 -4; 2θ = 43.63°, intensity 33, hkl 0 2 0; 2θ = 60.98°, intensity 17, hkl 6 2 0

---

[6]
Structure and simulated X-ray powder pattern of U3Cu3Sn4 (DFT lattice parameters and positions (GGA-PBE); Cu Kα, 1.54184 Å).

Structural model:
```
data_U3Cu3Sn4
_cell_length_a 9.5446
_cell_length_b 9.5446
_cell_length_c 9.5446
_cell_angle_alpha 90.00
_cell_angle_beta 90.00
_cell_angle_gamma 90.00
_space_group_name_H-M_alt 'I -4 3 d'
_space_group_IT_number 220
_space_group_name_Hall 'I -4bd 2c 3'
loop_
_atom_site_label
_atom_site_type_symbol
_atom_site_fract_x
_atom_site_fract_y
_atom_site_fract_z
_atom_site_occupancy
U1 U 0.0000 0.2500 0.8750 1
Cu1 Cu 0.0000 0.2500 0.3750 1
Sn1 Sn 0.0831 0.4169 0.5831 1
```

The 10 most intense peaks (15° ≤ 2θ ≤ 90°), by angle:
2θ = 22.82°, intensity 16, hkl 2 1 1; 2θ = 29.60°, intensity 61, hkl 3 1 0; 2θ = 35.18°, intensity 100, hkl 3 2 1; 2θ = 42.35°, intensity 44, hkl 4 2 0; 2θ = 44.52°, intensity 15, hkl 3 3 2; 2θ = 46.62°, intensity 15, hkl 4 2 2; 2θ = 59.72°, intensity 25, hkl 6 1 1; 2θ = 61.44°, intensity 12, hkl 6 2 0; 2θ = 63.13°, intensity 12, hkl 5 4 1; 2θ = 72.82°, intensity 18, hkl 5 5 2